The following is a theoretical X-ray diffraction stick pattern of BaV12S16. It was derived from a GGA-PBE-relaxed structure, using a wavelength of 1.5418 Å.

Structural model:
Unit cell a=9.731 b=9.731 c=9.183 alpha=118.14 beta=118.14 gamma=38.90
Atoms (fractional coordinates):
Ba1 0.000 0.000 0.000
V1 0.058 0.058 0.483
V2 0.070 0.551 0.113
V3 0.187 0.187 0.885
V4 0.195 0.691 0.506
V5 0.258 0.258 0.632
V6 0.507 0.986 0.379
V7 0.551 0.070 0.113
V8 0.558 0.558 0.488
V9 0.684 0.684 0.883
V10 0.691 0.195 0.506
V11 0.756 0.756 0.625
V12 0.986 0.507 0.379
S1 0.027 0.027 0.698
S2 0.106 0.605 0.657
S3 0.152 0.152 0.356
S4 0.227 0.720 0.288
S5 0.326 0.326 0.945
S6 0.332 0.332 0.334
S7 0.417 0.917 0.666
S8 0.422 0.920 0.052
S9 0.526 0.526 0.703
S10 0.605 0.106 0.657
S11 0.647 0.647 0.348
S12 0.720 0.227 0.288
S13 0.822 0.822 0.947
S14 0.834 0.834 0.331
S15 0.917 0.417 0.666
S16 0.920 0.422 0.052

Most intense lines, 10 to 90 degrees two-theta, by angle:
| Position (°2θ) | Rel. int. |
| --- | --- |
| 11.1 | 28 |
| 22.4 | 18 |
| 29.8 | 30 |
| 33.8 | 23 |
| 35.8 | 18 |
| 41.0 | 100 |
| 48.6 | 28 |
| 52.8 | 16 |
| 56.8 | 12 |
| 58.0 | 14 |

***

The following is a theoretical X-ray diffraction stick pattern of BaV10S16. It was derived from a GGA-PBE-relaxed structure, using a wavelength of 1.5418 Å.

Structural model:
Unit cell a=6.480 b=8.909 c=9.066 alpha=99.34 beta=110.88 gamma=100.53
Atoms (fractional coordinates):
Ba1 0.000 0.000 0.000
V1 0.000 0.000 0.500
V2 0.031 0.422 0.860
V3 0.179 0.704 0.505
V4 0.321 0.292 0.493
V5 0.462 0.580 0.142
V6 0.500 0.000 0.500
V7 0.538 0.420 0.858
V8 0.679 0.708 0.507
V9 0.821 0.296 0.495
V10 0.969 0.578 0.140
S1 0.052 0.831 0.685
S2 0.123 0.851 0.319
S3 0.170 0.681 0.995
S4 0.200 0.481 0.659
S5 0.300 0.518 0.341
S6 0.332 0.321 0.002
S7 0.377 0.148 0.681
S8 0.453 0.169 0.315
S9 0.547 0.831 0.685
S10 0.623 0.852 0.319
S11 0.668 0.679 0.998
S12 0.700 0.482 0.659
S13 0.800 0.519 0.341
S14 0.830 0.319 0.005
S15 0.877 0.149 0.681
S16 0.948 0.169 0.315

Most intense lines, 10 to 90 degrees two-theta, by angle:
| Position (°2θ) | Rel. int. |
| --- | --- |
| 21.1 | 37 |
| 21.7 | 33 |
| 33.7 | 50 |
| 35.0 | 100 |
| 36.5 | 45 |
| 41.1 | 30 |
| 43.1 | 85 |
| 43.2 | 44 |
| 55.0 | 57 |
| 56.8 | 33 |